(1)
Starting from a DFT-relaxed cell (PBE, Alexandria), the powder diffractogram of Ca3In9Ag2 was calculated for Cu Kα.
Neutral-atom scattering factors, no anomalous dispersion.

Crystal structure
abc: 4.868 10.742 13.657
angles: 90.00 90.00 90.00
Space group Immm (No. 71)
Inequivalent atoms, fractional coordinates:
Ca 0.000 0.000 0.000 (multiplicity 2)
Ca 0.000 0.000 0.293 (multiplicity 4)
In 0.000 0.286 0.145 (multiplicity 8)
In 0.000 0.365 0.358 (multiplicity 8)
In 0.000 0.500 0.000 (multiplicity 2)
Ag 0.000 0.159 0.500 (multiplicity 4)

Largest 10 diffraction maxima, low angle first, 2θ from 5° to 70°:
hkl 0 1 3, 21.20°, intensity 32; hkl 0 2 4, 31.02°, intensity 62; hkl 1 2 3, 31.65°, intensity 100; hkl 1 1 4, 33.12°, intensity 45; hkl 1 3 2, 33.73°, intensity 55; hkl 2 0 0, 36.93°, intensity 77; hkl 1 4 1, 38.86°, intensity 75; hkl 0 0 6, 39.59°, intensity 31; hkl 1 3 4, 40.96°, intensity 88; hkl 1 4 7, 61.79°, intensity 43

=====

(2)
Starting from a DFT-relaxed cell (PBE, Alexandria), the powder diffractogram of SrLa2BeO5 was calculated for Cu Kα.
Neutral-atom scattering factors, no anomalous dispersion.

Crystal structure
abc: 9.778 6.717 7.403
angles: 90.00 90.00 90.00
Space group Pna2_1 (No. 33)
Inequivalent atoms, fractional coordinates:
Sr 0.175 0.082 0.000 (multiplicity 4)
La 0.023 0.594 0.765 (multiplicity 4)
La 0.171 0.071 0.549 (multiplicity 4)
Be 0.102 0.808 0.268 (multiplicity 4)
O 0.012 0.018 0.269 (multiplicity 4)
O 0.068 0.696 0.459 (multiplicity 4)
O 0.069 0.688 0.079 (multiplicity 4)
O 0.223 0.341 0.259 (multiplicity 4)
O 0.228 0.363 0.768 (multiplicity 4)

Largest 10 diffraction maxima, low angle first, 2θ from 5° to 70°:
hkl 1 2 0, 28.09°, intensity 37; hkl 1 1 2, 29.02°, intensity 90; hkl 2 0 2, 30.29°, intensity 64; hkl 3 1 0, 30.49°, intensity 100; hkl 1 2 1, 30.63°, intensity 44; hkl 1 2 2, 37.31°, intensity 45; hkl 4 1 0, 39.21°, intensity 39; hkl 2 2 2, 40.70°, intensity 27; hkl 4 0 2, 44.44°, intensity 35; hkl 2 3 2, 51.22°, intensity 27

=====

(3)
Starting from a DFT-relaxed cell (PBE, Alexandria), the powder diffractogram of Sm2SiP was calculated for Cu Kα.
Neutral-atom scattering factors, no anomalous dispersion.

Crystal structure
abc: 4.244 22.908 3.976
angles: 90.00 90.00 90.00
Space group Cmcm (No. 63)
Inequivalent atoms, fractional coordinates:
Sm 0.000 0.067 0.250 (multiplicity 4)
Sm 0.000 0.312 0.250 (multiplicity 4)
Si 0.000 0.466 0.250 (multiplicity 4)
P 0.000 0.188 0.250 (multiplicity 4)

Largest 10 diffraction maxima, low angle first, 2θ from 5° to 70°:
hkl 1 3 0, 23.99°, intensity 29; hkl 0 4 1, 27.30°, intensity 75; hkl 1 5 0, 28.67°, intensity 45; hkl 1 1 1, 31.07°, intensity 100; hkl 0 8 0, 31.24°, intensity 49; hkl 1 7 1, 41.59°, intensity 39; hkl 2 0 0, 42.60°, intensity 24; hkl 1 9 1, 47.52°, intensity 30; hkl 2 4 1, 51.34°, intensity 27; hkl 2 8 0, 53.77°, intensity 21

=====

(4)
Starting from a DFT-relaxed cell (PBE, Alexandria), the powder diffractogram of Cs3TlAg4 was calculated for Cu Kα.
Neutral-atom scattering factors, no anomalous dispersion.

Crystal structure
abc: 7.268 7.947 10.318
angles: 90.00 90.00 90.00
Space group Imm2 (No. 44)
Inequivalent atoms, fractional coordinates:
Cs 0.000 0.000 0.000 (multiplicity 2)
Cs 0.000 0.246 0.355 (multiplicity 4)
Tl 0.000 0.500 0.967 (multiplicity 2)
Ag 0.000 0.314 0.717 (multiplicity 4)
Ag 0.188 0.000 0.641 (multiplicity 4)

Largest 10 diffraction maxima, low angle first, 2θ from 5° to 70°:
hkl 0 1 1, 14.07°, intensity 37; hkl 2 0 0, 24.49°, intensity 57; hkl 1 2 1, 26.99°, intensity 100; hkl 0 2 2, 28.35°, intensity 90; hkl 1 0 3, 28.72°, intensity 100; hkl 2 0 2, 30.08°, intensity 26; hkl 1 2 3, 36.70°, intensity 28; hkl 2 2 2, 37.80°, intensity 63; hkl 3 2 1, 44.68°, intensity 45; hkl 0 4 0, 45.68°, intensity 27